(1)
Simulated powder XRD pattern of Sm4DyTl3 for Cu Kα (weighted mean of Kα1 and Kα2), from a crystal structure in Alexandria, relaxed with GGA-PBE.
Neutral-atom scattering factors, no anomalous dispersion.

Structural model:
```
data_Sm4DyTl3
_chemical_formula_sum 'Sm12 Dy3 Tl9'
_space_group_name_H-M_alt 'R -3 m'
_space_group_IT_number 166
_space_group_name_Hall '-R 3 2"'
_cell_length_a 5.4581
_cell_length_b 5.4581
_cell_length_c 28.0325
_cell_angle_alpha 90.00
_cell_angle_beta 90.00
_cell_angle_gamma 120.00
loop_
_atom_site_label
_atom_site_type_symbol
_atom_site_fract_x
_atom_site_fract_y
_atom_site_fract_z
Sm1 Sm 0.0000 0.0000 0.1124
Sm2 Sm 0.0000 0.0000 0.3693
Dy1 Dy 0.0000 0.0000 0.5000
Tl1 Tl 0.0000 0.0000 0.0000
Tl2 Tl 0.0000 0.0000 0.2338
```

Main lines, in order of rising 2θ (15 to 90 degrees two-theta):
2θ (°)	d_spacing	Rel. int.	h k l
29.2	3.056	12	1 0 7
31.8	2.815	80	0 1 8
32.8	2.729	100	1 1 0
44.1	2.053	13	1 1 9
46.3	1.960	29	2 0 8
57.9	1.592	30	1 2 8
58.6	1.576	19	3 0 0
60.0	1.542	11	1 1 15
68.8	1.365	12	2 2 0
77.8	1.228	12	3 1 8

---

(2)
Simulated powder XRD pattern of Sm3Dy3Tl2 for Cu Kα (weighted mean of Kα1 and Kα2), from a crystal structure in Alexandria, relaxed with GGA-PBE.
Neutral-atom scattering factors, no anomalous dispersion.

Structural model:
```
data_Sm3Dy3Tl2
_chemical_formula_sum 'Sm3 Dy3 Tl2'
_space_group_name_H-M_alt 'P m m m'
_space_group_IT_number 47
_cell_length_a 4.8731
_cell_length_b 4.8901
_cell_length_c 9.8526
_cell_angle_alpha 90.00
_cell_angle_beta 90.00
_cell_angle_gamma 90.00
loop_
_space_group_symop_operation_xyz
'x,y,z'
'-x,-y,-z'
'-x,-y,z'
'x,y,-z'
'x,-y,-z'
'-x,y,z'
'-x,y,-z'
'x,-y,z'
loop_
_atom_site_label
_atom_site_type_symbol
_atom_site_fract_x
_atom_site_fract_y
_atom_site_fract_z
Sm1 Sm 0.0000 0.0000 0.0000
Sm2 Sm 0.0000 0.0000 0.5000
Sm3 Sm 0.5000 0.5000 0.0000
Dy1 Dy 0.5000 0.0000 0.2511
Dy2 Dy 0.5000 0.5000 0.5000
Tl1 Tl 0.0000 0.5000 0.2525
```

Main lines, in order of rising 2θ (15 to 90 degrees two-theta):
2θ (°)	d_spacing	Rel. int.	h k l
31.7	2.827	100	1 1 2
36.5	2.463	17	0 0 4
36.8	2.445	17	0 2 0
36.9	2.437	17	2 0 0
52.8	1.735	12	0 2 4
52.9	1.732	12	2 0 4
62.6	1.483	14	1 1 6
63.0	1.475	14	1 3 2
63.2	1.471	14	3 1 2
66.1	1.413	12	2 2 4

---

(3)
Simulated powder XRD pattern of Sm5DyTl3 for Cu Kα (weighted mean of Kα1 and Kα2), from a crystal structure in Alexandria, relaxed with GGA-PBE.
Neutral-atom scattering factors, no anomalous dispersion.

Structural model:
```
data_Sm5DyTl3
_chemical_formula_sum 'Sm10 Dy2 Tl6'
_space_group_name_H-M_alt 'P 63/m c m'
_space_group_IT_number 193
_space_group_name_Hall '-P 6c 2'
_cell_length_a 9.5308
_cell_length_b 9.5308
_cell_length_c 6.8406
_cell_angle_alpha 90.00
_cell_angle_beta 90.00
_cell_angle_gamma 120.00
loop_
_atom_site_label
_atom_site_type_symbol
_atom_site_fract_x
_atom_site_fract_y
_atom_site_fract_z
Sm1 Sm 0.0000 0.3365 0.2500
Sm2 Sm 0.3333 0.6667 0.0000
Dy1 Dy 0.0000 0.0000 0.0000
Tl1 Tl 0.0000 0.3283 0.7500
```

Main lines, in order of rising 2θ (15 to 90 degrees two-theta):
2θ (°)	d_spacing	Rel. int.	h k l
32.2	2.779	88	1 1 2
32.5	2.751	100	3 0 0
42.2	2.144	15	3 0 2
46.4	1.955	32	2 2 2
57.9	1.594	33	4 1 2
58.1	1.588	19	3 3 0
64.1	1.452	29	3 0 4
68.2	1.376	12	6 0 0
77.4	1.233	14	5 2 2
83.0	1.164	14	3 3 4

---

(4)
Simulated powder XRD pattern of Sm2DyTl2 for Cu Kα (weighted mean of Kα1 and Kα2), from a crystal structure in Alexandria, relaxed with GGA-PBE.
Neutral-atom scattering factors, no anomalous dispersion.

Structural model:
```
data_Sm2DyTl2
_chemical_formula_sum 'Sm8 Dy4 Tl8'
_space_group_name_H-M_alt 'C m c 21'
_space_group_IT_number 36
_cell_length_a 5.5677
_cell_length_b 16.2838
_cell_length_c 6.5579
_cell_angle_alpha 90.00
_cell_angle_beta 90.00
_cell_angle_gamma 90.00
loop_
_space_group_symop_operation_xyz
'x,y,z'
'-x,-y,z+1/2'
'-x,y,z'
'x,-y,z+1/2'
'x+1/2,y+1/2,z'
'-x+1/2,-y+1/2,z+1/2'
'-x+1/2,y+1/2,z'
'x+1/2,-y+1/2,z+1/2'
loop_
_atom_site_label
_atom_site_type_symbol
_atom_site_fract_x
_atom_site_fract_y
_atom_site_fract_z
Sm1 Sm 0.0000 0.0315 0.0000
Sm2 Sm 0.0000 0.1978 0.4587
Dy1 Dy 0.0000 0.4030 0.2075
Tl1 Tl 0.0000 0.2198 0.9448
Tl2 Tl 0.0000 0.4038 0.7241
```

Main lines, in order of rising 2θ (15 to 90 degrees two-theta):
2θ (°)	d_spacing	Rel. int.	h k l
29.4	3.042	14	0 2 2
31.8	2.811	65	1 5 0
32.2	2.784	100	2 0 0
34.7	2.584	11	1 5 1
35.1	2.554	26	0 4 2
48.4	1.882	21	2 4 2
50.8	1.796	12	1 7 2
57.1	1.612	12	3 5 0
57.3	1.607	13	3 1 2
66.0	1.416	14	1 5 4

---

(5)
Simulated powder XRD pattern of Sm5DyTl2 for Cu Kα (weighted mean of Kα1 and Kα2), from a crystal structure in Alexandria, relaxed with GGA-PBE.
Neutral-atom scattering factors, no anomalous dispersion.

Structural model:
```
data_Sm5DyTl2
_chemical_formula_sum 'Sm10 Dy2 Tl4'
_space_group_name_H-M_alt 'P 63/m m c'
_space_group_IT_number 194
_space_group_name_Hall '-P 6c 2c'
_cell_length_a 5.5080
_cell_length_b 5.5080
_cell_length_c 20.3133
_cell_angle_alpha 90.00
_cell_angle_beta 90.00
_cell_angle_gamma 120.00
loop_
_atom_site_label
_atom_site_type_symbol
_atom_site_fract_x
_atom_site_fract_y
_atom_site_fract_z
Sm1 Sm 0.0000 0.0000 0.1626
Sm2 Sm 0.3333 0.6667 0.0615
Sm3 Sm 0.3333 0.6667 0.2500
Dy1 Dy 0.3333 0.6667 0.7500
Tl1 Tl 0.3333 0.6667 0.5961
```

Main lines, in order of rising 2θ (15 to 90 degrees two-theta):
2θ (°)	d_spacing	Rel. int.	h k l
18.6	4.770	6	1 0 0
26.3	3.386	7	0 0 6
32.5	2.757	100	1 1 0
36.2	2.479	10	1 0 7
42.3	2.136	11	1 1 6
46.6	1.950	14	2 0 6
58.0	1.591	27	3 0 0
64.6	1.442	6	1 1 12
68.1	1.377	7	2 2 0
77.5	1.232	6	3 1 6

---

(6)
Simulated powder XRD pattern of Sm12Dy5Tl2 for Cu Kα (weighted mean of Kα1 and Kα2), from a crystal structure in Alexandria, relaxed with GGA-PBE.
Neutral-atom scattering factors, no anomalous dispersion.

Structural model:
```
data_Sm12Dy5Tl2
_chemical_formula_sum 'Sm24 Dy10 Tl4'
_space_group_name_H-M_alt 'C 1 2/m 1'
_space_group_IT_number 12
_cell_length_a 15.4727
_cell_length_b 9.3935
_cell_length_c 8.5216
_cell_angle_alpha 90.00
_cell_angle_beta 92.85
_cell_angle_gamma 90.00
loop_
_space_group_symop_operation_xyz
'x,y,z'
'-x,-y,-z'
'-x,y,-z'
'x,-y,z'
'x+1/2,y+1/2,z'
'-x+1/2,-y+1/2,-z'
'-x+1/2,y+1/2,-z'
'x+1/2,-y+1/2,z'
loop_
_atom_site_label
_atom_site_type_symbol
_atom_site_fract_x
_atom_site_fract_y
_atom_site_fract_z
Sm1 Sm 0.0554 0.0000 0.3189
Sm2 Sm 0.0836 0.5000 0.8842
Sm3 Sm 0.1236 0.1946 0.6559
Sm4 Sm 0.1504 0.3152 0.2350
Dy1 Dy 0.0000 0.5000 0.5000
Dy2 Dy 0.1857 0.0000 0.0048
Dy3 Dy 0.2328 0.5000 0.5850
Tl1 Tl 0.0000 0.1844 0.0000
```

Main lines, in order of rising 2θ (15 to 90 degrees two-theta):
2θ (°)	d_spacing	Rel. int.	h k l
30.2	2.958	77	2 2 -2
31.1	2.878	46	1 3 1
31.8	2.817	100	5 1 -1
32.1	2.792	54	4 0 2
32.2	2.783	57	4 2 1
33.2	2.697	66	1 1 -3
35.4	2.534	58	3 3 1
35.9	2.501	40	1 3 -2
55.9	1.645	42	3 3 4
58.2	1.585	38	5 5 -1

---

(7)
Simulated powder XRD pattern of Sm9Dy4Tl11 for Cu Kα (weighted mean of Kα1 and Kα2), from a crystal structure in Alexandria, relaxed with GGA-PBE.
Neutral-atom scattering factors, no anomalous dispersion.

Structural model:
```
data_Sm9Dy4Tl11
_chemical_formula_sum 'Sm18 Dy8 Tl22'
_space_group_name_H-M_alt 'C m m m'
_space_group_IT_number 65
_space_group_name_Hall '-C 2 2'
_cell_length_a 17.8518
_cell_length_b 21.4986
_cell_length_c 3.5944
_cell_angle_alpha 90.00
_cell_angle_beta 90.00
_cell_angle_gamma 90.00
loop_
_atom_site_label
_atom_site_type_symbol
_atom_site_fract_x
_atom_site_fract_y
_atom_site_fract_z
Sm1 Sm 0.0000 0.0000 0.0000
Sm2 Sm 0.1172 0.2403 0.0000
Sm3 Sm 0.1193 0.4122 0.0000
Dy1 Dy 0.1526 0.0835 0.0000
Tl1 Tl 0.0000 0.1353 0.5000
Tl2 Tl 0.0000 0.3282 0.5000
Tl3 Tl 0.0000 0.5000 0.5000
Tl4 Tl 0.2360 0.5000 0.5000
Tl5 Tl 0.2424 0.3260 0.5000
```

Main lines, in order of rising 2θ (15 to 90 degrees two-theta):
2θ (°)	d_spacing	Rel. int.	h k l
32.0	2.797	100	4 0 1
32.6	2.747	7	5 5 0
32.9	2.726	10	1 5 1
35.4	2.537	37	0 6 1
40.4	2.231	12	8 0 0
50.8	1.797	9	0 0 2
54.8	1.676	13	8 6 1
57.2	1.610	8	9 5 1
61.3	1.512	17	4 6 2
61.4	1.509	8	4 12 1

---

(8)
Simulated powder XRD pattern of SmDy2YTl2 for Cu Kα (weighted mean of Kα1 and Kα2), from a crystal structure in Alexandria, relaxed with GGA-PBE.
Neutral-atom scattering factors, no anomalous dispersion.

Structural model:
```
data_SmDy2YTl2
_chemical_formula_sum 'Sm2 Dy4 Y2 Tl4'
_space_group_name_H-M_alt 'P m c 21'
_space_group_IT_number 26
_cell_length_a 5.1389
_cell_length_b 10.0438
_cell_length_c 6.8192
_cell_angle_alpha 90.00
_cell_angle_beta 90.00
_cell_angle_gamma 90.00
loop_
_space_group_symop_operation_xyz
'x,y,z'
'-x,-y,z+1/2'
'-x,y,z'
'x,-y,z+1/2'
loop_
_atom_site_label
_atom_site_type_symbol
_atom_site_fract_x
_atom_site_fract_y
_atom_site_fract_z
Sm1 Sm 0.0000 0.0415 0.0000
Dy1 Dy 0.0000 0.3164 0.3719
Dy2 Dy 0.5000 0.4570 0.0900
Y1 Y 0.5000 0.1897 0.7214
Tl1 Tl 0.0000 0.3664 0.8365
Tl2 Tl 0.5000 0.1364 0.2578
```

Main lines, in order of rising 2θ (15 to 90 degrees two-theta):
2θ (°)	d_spacing	Rel. int.	h k l
29.7	3.005	19	0 3 1
31.5	2.841	53	1 0 2
31.7	2.821	23	0 2 2
31.9	2.805	100	1 3 0
32.8	2.734	90	1 1 2
34.6	2.594	34	1 3 1
34.9	2.569	59	2 0 0
37.7	2.389	23	0 3 2
52.3	1.750	18	2 3 2
60.7	1.525	16	3 3 0

---

(9)
Simulated powder XRD pattern of SmDy2Tm for Cu Kα (weighted mean of Kα1 and Kα2), from a crystal structure in Alexandria, relaxed with GGA-PBE.
Neutral-atom scattering factors, no anomalous dispersion.

Structural model:
```
data_SmDy2Tm
_chemical_formula_sum 'Sm2 Dy4 Tm2'
_space_group_name_H-M_alt 'I m m 2'
_space_group_IT_number 44
_cell_length_a 3.6283
_cell_length_b 11.3148
_cell_length_c 6.2527
_cell_angle_alpha 90.00
_cell_angle_beta 90.00
_cell_angle_gamma 90.00
loop_
_space_group_symop_operation_xyz
'x,y,z'
'-x,-y,z'
'-x,y,z'
'x,-y,z'
'x+1/2,y+1/2,z+1/2'
'-x+1/2,-y+1/2,z+1/2'
'-x+1/2,y+1/2,z+1/2'
'x+1/2,-y+1/2,z+1/2'
loop_
_atom_site_label
_atom_site_type_symbol
_atom_site_fract_x
_atom_site_fract_y
_atom_site_fract_z
Sm1 Sm 0.0000 0.0000 0.0000
Dy1 Dy 0.0000 0.2480 0.6645
Tm1 Tm 0.0000 0.5000 0.9968
```

Main lines, in order of rising 2θ (15 to 90 degrees two-theta):
2θ (°)	d_spacing	Rel. int.	h k l
28.4	3.138	16	1 0 1
28.6	3.126	8	0 0 2
31.6	2.829	24	0 4 0
32.7	2.742	100	1 2 1
43.1	2.100	16	0 4 2
50.5	1.807	13	1 0 3
57.0	1.616	21	1 6 1
60.6	1.527	8	2 4 0
60.8	1.523	15	1 4 3
61.3	1.512	11	2 2 2

---

(10)
Simulated powder XRD pattern of SmDy5Tm4 for Cu Kα (weighted mean of Kα1 and Kα2), from a crystal structure in Alexandria, relaxed with GGA-PBE.
Neutral-atom scattering factors, no anomalous dispersion.

Structural model:
```
data_SmDy5Tm4
_chemical_formula_sum 'Sm2 Dy10 Tm8'
_space_group_name_H-M_alt 'I 4'
_space_group_IT_number 79
_cell_length_a 10.1016
_cell_length_b 10.1016
_cell_length_c 6.2896
_cell_angle_alpha 90.00
_cell_angle_beta 90.00
_cell_angle_gamma 90.00
loop_
_space_group_symop_operation_xyz
'x,y,z'
'-y,x,z'
'-x,-y,z'
'y,-x,z'
'x+1/2,y+1/2,z+1/2'
'-y+1/2,x+1/2,z+1/2'
'-x+1/2,-y+1/2,z+1/2'
'y+1/2,-x+1/2,z+1/2'
loop_
_atom_site_label
_atom_site_type_symbol
_atom_site_fract_x
_atom_site_fract_y
_atom_site_fract_z
Sm1 Sm 0.0000 0.0000 0.0000
Dy1 Dy 0.0000 0.0000 0.4553
Dy2 Dy 0.1440 0.7655 0.7271
Tm1 Tm 0.0504 0.6518 0.2289
```

Main lines, in order of rising 2θ (15 to 90 degrees two-theta):
2θ (°)	d_spacing	Rel. int.	h k l
27.9	3.194	67	3 1 0
28.4	3.145	33	0 0 2
30.1	2.969	100	3 0 1
31.1	2.878	41	1 1 2
33.6	2.670	23	2 0 2
35.1	2.559	61	3 2 1
39.5	2.283	26	1 4 1
40.2	2.241	37	1 3 2
54.7	1.678	23	3 2 3
57.4	1.606	22	6 1 1

---

(11)
Simulated powder XRD pattern of Sm7Dy16Tm6 for Cu Kα (weighted mean of Kα1 and Kα2), from a crystal structure in Alexandria, relaxed with GGA-PBE.
Neutral-atom scattering factors, no anomalous dispersion.

Structural model:
```
data_Sm7Dy16Tm6
_chemical_formula_sum 'Sm28 Dy64 Tm24'
_space_group_name_H-M_alt 'F m -3 m'
_space_group_IT_number 225
_space_group_name_Hall '-F 4 2 3'
_cell_length_a 15.7401
_cell_length_b 15.7401
_cell_length_c 15.7401
_cell_angle_alpha 90.00
_cell_angle_beta 90.00
_cell_angle_gamma 90.00
loop_
_atom_site_label
_atom_site_type_symbol
_atom_site_fract_x
_atom_site_fract_y
_atom_site_fract_z
Sm1 Sm 0.0000 0.0000 0.0000
Sm2 Sm 0.0000 0.2500 0.2500
Dy1 Dy 0.1260 0.1260 0.1260
Dy2 Dy 0.1502 0.1502 0.3498
Tm1 Tm 0.0000 0.0000 0.2646
```

Main lines, in order of rising 2θ (15 to 90 degrees two-theta):
2θ (°)	d_spacing	Rel. int.	h k l
25.3	3.520	6	4 2 0
27.8	3.213	6	4 2 2
29.5	3.029	9	3 3 3
32.2	2.782	100	4 4 0
33.7	2.661	5	5 3 1
36.1	2.489	5	6 2 0
46.1	1.968	14	8 0 0
57.4	1.606	27	8 4 4
67.3	1.391	8	8 8 0
76.6	1.244	8	12 4 0

---

(12)
Simulated powder XRD pattern of Sm12DyTm7 for Cu Kα (weighted mean of Kα1 and Kα2), from a crystal structure in Alexandria, relaxed with GGA-PBE.
Neutral-atom scattering factors, no anomalous dispersion.

Structural model:
```
data_Sm12DyTm7
_chemical_formula_sum 'Sm36 Dy3 Tm21'
_space_group_name_H-M_alt 'R -3'
_space_group_IT_number 148
_space_group_name_Hall '-R 3'
_cell_length_a 19.5299
_cell_length_b 19.5299
_cell_length_c 6.1306
_cell_angle_alpha 90.00
_cell_angle_beta 90.00
_cell_angle_gamma 120.00
loop_
_atom_site_label
_atom_site_type_symbol
_atom_site_fract_x
_atom_site_fract_y
_atom_site_fract_z
Sm1 Sm 0.9998 0.4135 0.9999
Sm2 Sm 0.0981 0.5487 0.4630
Dy1 Dy 0.0000 0.0000 0.5000
Tm1 Tm 0.0000 0.0000 0.0000
Tm2 Tm 0.0809 0.1624 0.2928
```

Main lines, in order of rising 2θ (15 to 90 degrees two-theta):
2θ (°)	d_spacing	Rel. int.	h k l
27.4	3.255	41	3 3 0
29.6	3.016	25	0 1 2
30.2	2.962	100	0 5 1
31.0	2.882	41	2 0 2
32.9	2.722	47	5 1 1
33.1	2.708	46	2 5 0
35.0	2.566	25	3 1 2
39.7	2.271	40	5 0 2
40.1	2.248	26	7 0 1
46.5	1.953	25	5 5 0